Entry 1:
The following is a simulated powder XRD pattern of LaB2Ir2C. It was derived from a DFT-relaxed cell (GGA-PBE, the Materials Project), using λ = 1.5418 Å (Cu Kα).

```
LaB2Ir2C
1.0
3.894 0.000 0.000
0.000 3.894 0.000
0.000 0.000 10.513
La B Ir C
2 4 4 2
Direct
0.000 0.000 0.000 La
0.500 0.500 0.500 La
0.000 0.000 0.356 B
0.000 0.000 0.644 B
0.500 0.500 0.144 B
0.500 0.500 0.856 B
0.000 0.500 0.250 Ir
0.000 0.500 0.750 Ir
0.500 0.000 0.250 Ir
0.500 0.000 0.750 Ir
0.000 0.000 0.500 C
0.500 0.500 0.000 C
```

Most intense lines, 10° ≤ 2θ ≤ 80°, sorted by position:
2θ/deg	I/Imax
16.9	33.4
24.4	13.8
32.5	11.6
34.1	29.6
36.9	100.0
46.7	27.5
47.8	10.7
50.0	8.8
59.0	24.8
62.9	22.2
68.1	8.9
78.4	10.9

=====

Entry 2:
The following is a simulated powder XRD pattern of K2BC3N3. It was derived from a DFT-relaxed cell (GGA-PBE, the Materials Project), using λ = 1.5418 Å (Cu Kα).

```
K2BC3N3
1.0
0.000 6.921 4.567
5.396 0.000 4.567
5.396 6.921 0.000
K B C N
4 2 6 6
Direct
0.211 0.789 0.379 K
0.629 0.871 0.461 K
0.789 0.211 0.621 K
0.871 0.629 0.039 K
0.209 0.209 0.791 B
0.459 0.459 0.041 B
0.086 0.168 0.027 C
0.168 0.086 0.719 C
0.223 0.531 0.164 C
0.374 0.374 0.626 C
0.531 0.223 0.082 C
0.624 0.624 0.876 C
0.039 0.593 0.262 N
0.143 0.988 0.657 N
0.505 0.505 0.495 N
0.593 0.039 0.107 N
0.755 0.755 0.745 N
0.988 0.143 0.211 N
```

Most intense lines, 10° ≤ 2θ ≤ 80°, sorted by position:
2θ/deg	I/Imax
14.2	26.6
23.3	57.8
27.4	100.0
28.7	27.4
30.7	74.9
31.2	53.5
33.1	24.3
34.9	47.0
36.3	23.1
39.3	33.9
45.1	24.8
47.2	25.1

=====

Entry 3:
The following is a simulated powder XRD pattern of KBC4N4. It was derived from a DFT-relaxed cell (GGA-PBE, the Materials Project), using λ = 1.5418 Å (Cu Kα).

```
KBC4N4
1.0
-3.571 3.571 7.251
3.571 -3.571 7.251
3.571 3.571 -7.251
K B C N
2 2 8 8
Direct
0.375 0.125 0.250 K
0.625 0.875 0.750 K
0.125 0.375 0.750 B
0.875 0.625 0.250 B
0.085 0.589 0.800 C
0.089 0.789 0.504 C
0.215 0.415 0.004 C
0.289 0.285 0.700 C
0.711 0.715 0.300 C
0.785 0.585 0.996 C
0.911 0.211 0.496 C
0.915 0.411 0.200 C
0.055 0.747 0.839 N
0.247 0.908 0.693 N
0.285 0.445 0.193 N
0.408 0.215 0.661 N
0.592 0.785 0.339 N
0.715 0.555 0.807 N
0.753 0.092 0.307 N
0.945 0.253 0.161 N
```

Most intense lines, 10° ≤ 2θ ≤ 80°, sorted by position:
2θ/deg	I/Imax
21.4	100.0
28.6	35.7
30.3	18.1
33.3	10.4
33.6	35.3
35.3	45.2
35.6	17.1
38.3	7.2
41.9	10.0
45.6	6.5
46.3	6.5
55.7	9.5

=====

Entry 4:
The following is a simulated powder XRD pattern of KBC2N2. It was derived from a DFT-relaxed cell (GGA-PBE, the Materials Project), using λ = 1.5418 Å (Cu Kα).

```
KBC2N2
1.0
-4.378 4.378 6.555
4.378 -4.378 6.555
4.378 4.378 -6.555
K B C N
4 4 8 8
Direct
0.000 0.000 0.000 K
0.500 0.000 0.000 K
0.500 0.000 0.500 K
0.500 0.500 0.500 K
0.000 0.000 0.500 B
0.000 0.500 0.000 B
0.000 0.500 0.500 B
0.500 0.500 0.000 B
0.028 0.323 0.436 C
0.092 0.528 0.205 C
0.177 0.113 0.705 C
0.387 0.592 0.064 C
0.613 0.408 0.936 C
0.823 0.887 0.295 C
0.908 0.472 0.795 C
0.972 0.677 0.564 C
0.051 0.175 0.371 N
0.180 0.551 0.376 N
0.304 0.680 0.129 N
0.325 0.196 0.876 N
0.675 0.804 0.124 N
0.696 0.320 0.871 N
0.820 0.449 0.624 N
0.949 0.825 0.629 N
```

Most intense lines, 10° ≤ 2θ ≤ 80°, sorted by position:
2θ/deg	I/Imax
20.3	22.0
22.7	32.4
23.7	33.6
24.5	100.0
27.2	25.0
28.8	33.2
30.7	36.3
30.9	25.8
31.4	23.3
40.1	25.5
46.4	27.3
48.5	31.9

=====

Entry 5:
The following is a simulated powder XRD pattern of KBC4O8. It was derived from a DFT-relaxed cell (GGA-PBE, the Materials Project), using λ = 1.5418 Å (Cu Kα).

```
KBC4O8
1.0
4.262 -5.563 0.000
4.262 5.563 0.000
0.000 0.000 8.422
K B C O
2 2 8 16
Direct
0.072 0.928 0.750 K
0.928 0.072 0.250 K
0.428 0.572 0.250 B
0.572 0.428 0.750 B
0.233 0.767 0.158 C
0.233 0.767 0.342 C
0.286 0.533 0.750 C
0.467 0.714 0.750 C
0.533 0.286 0.250 C
0.714 0.467 0.250 C
0.767 0.233 0.658 C
0.767 0.233 0.842 C
0.114 0.540 0.750 O
0.145 0.855 0.073 O
0.145 0.855 0.427 O
0.348 0.652 0.110 O
0.348 0.652 0.390 O
0.352 0.370 0.750 O
0.370 0.352 0.250 O
0.460 0.886 0.750 O
0.540 0.114 0.250 O
0.630 0.648 0.750 O
0.648 0.630 0.250 O
0.652 0.348 0.610 O
0.652 0.348 0.890 O
0.855 0.145 0.573 O
0.855 0.145 0.927 O
0.886 0.460 0.250 O
```

Most intense lines, 10° ≤ 2θ ≤ 80°, sorted by position:
2θ/deg	I/Imax
20.8	100.0
21.1	93.7
28.3	20.0
28.4	17.6
32.5	18.9
33.9	16.5
34.0	10.4
34.3	30.0
34.6	56.8
38.7	11.2
39.1	14.9
41.8	16.1

=====

Entry 6:
The following is a simulated powder XRD pattern of LaB2Rh2C. It was derived from a DFT-relaxed cell (GGA-PBE, the Materials Project), using λ = 1.5418 Å (Cu Kα).

```
LaB2Rh2C
1.0
3.904 0.000 0.000
0.000 3.904 0.000
0.000 0.000 10.360
La B Rh C
2 4 4 2
Direct
0.000 0.000 0.000 La
0.500 0.500 0.500 La
0.000 0.000 0.355 B
0.000 0.000 0.645 B
0.500 0.500 0.145 B
0.500 0.500 0.855 B
0.000 0.500 0.250 Rh
0.000 0.500 0.750 Rh
0.500 0.000 0.250 Rh
0.500 0.000 0.750 Rh
0.000 0.000 0.500 C
0.500 0.500 0.000 C
```

Most intense lines, 10° ≤ 2θ ≤ 80°, sorted by position:
2θ/deg	I/Imax
17.1	6.6
24.4	30.0
34.7	46.8
36.9	100.0
46.5	28.3
49.8	7.2
53.2	7.9
59.3	31.2
63.6	21.1
67.9	8.8
78.5	11.9
79.9	20.3

=====

Entry 7:
The following is a simulated powder XRD pattern of LiB2C2. It was derived from a DFT-relaxed cell (GGA-PBE, the Materials Project), using λ = 1.5418 Å (Cu Kα).

```
LiB2C2
1.0
2.715 0.000 0.000
-1.357 2.351 0.000
0.000 0.000 7.118
Li B C
1 2 2
Direct
0.000 0.000 0.000 Li
0.333 0.667 0.250 B
0.667 0.333 0.750 B
0.333 0.667 0.758 C
0.667 0.333 0.242 C
```

Most intense lines, 10° ≤ 2θ ≤ 80°, sorted by position:
2θ/deg	I/Imax
12.4	20.9
25.0	100.0
38.3	11.5
40.4	4.5
46.3	37.3
51.3	12.8
55.0	2.4
65.8	2.5
69.2	13.5
70.6	0.8
74.9	10.4

=====

Entry 8:
The following is a simulated powder XRD pattern of LiB6C. It was derived from a DFT-relaxed cell (GGA-PBE, the Materials Project), using λ = 1.5418 Å (Cu Kα).

```
LiB6C
1.0
4.705 0.000 0.000
0.000 4.507 2.826
0.000 -4.507 2.826
Li B C
2 12 2
Direct
0.000 0.208 0.792 Li
0.000 0.792 0.208 Li
0.194 0.582 0.777 B
0.194 0.777 0.582 B
0.317 0.423 0.423 B
0.317 0.937 0.937 B
0.500 0.012 0.673 B
0.500 0.349 0.687 B
0.500 0.673 0.012 B
0.500 0.687 0.349 B
0.683 0.423 0.423 B
0.683 0.937 0.937 B
0.806 0.582 0.777 B
0.806 0.777 0.582 B
0.147 0.182 0.182 C
0.853 0.182 0.182 C
```

Most intense lines, 10° ≤ 2θ ≤ 80°, sorted by position:
2θ/deg	I/Imax
18.5	22.4
18.9	12.8
19.7	100.0
26.6	15.9
33.8	46.3
37.1	32.9
42.4	16.3
43.4	33.8
53.3	12.0
57.1	9.7
61.3	16.6
72.0	10.7